Theoretical powder X-ray diffraction pattern of PaNiP2Ir2 for Cu Kα, 1.54184 Å, from a crystal structure in Alexandria, relaxed with GGA-PBE.
Intensities are scaled so that the largest is 100.

The 10 most intense peaks (10 to 90 degrees two-theta), low angle first:
| 2theta | I (rel.) | hkl |
| --- | --- | --- |
| 21.03 | 16 | 1 0 1 |
| 32.70 | 100 | 1 1 2 |
| 37.11 | 24 | 0 0 4 |
| 38.35 | 46 | 2 0 0 |
| 54.42 | 32 | 2 0 4 |
| 55.35 | 16 | 2 2 0 |
| 64.12 | 17 | 1 1 6 |
| 65.79 | 28 | 3 1 2 |
| 68.53 | 16 | 2 2 4 |
| 89.71 | 14 | 3 1 6 |

Crystal structure
Unit cell a=4.695 b=4.695 c=9.691 alpha=90.00 beta=90.00 gamma=90.00
Space group I4/mmm (No. 139)
Inequivalent atoms, fractional coordinates:
Pa (0.000, 0.000, 0.000) (multiplicity 2)
Ni (0.000, 0.000, 0.500) (multiplicity 2)
P (0.000, 0.000, 0.285) (multiplicity 4)
Ir (0.000, 0.500, 0.250) (multiplicity 4)